For PmY3Er6, a DFT-relaxed cell (PBE, Alexandria) gives the computed powder XRD pattern in this record (Cu Kα).

Top 10 peaks for 10 to 80 degrees two-theta, in order of falling intensity:
- hkl 3 0 0, 31.6 deg, rel. 100.0
- hkl 2 -1 3, 29.4 deg, rel. 89.8
- hkl 5 -1 3, 55.0 deg, rel. 31.3
- hkl 2 2 3, 43.7 deg, rel. 30.6
- hkl 3 0 6, 57.7 deg, rel. 20.6
- hkl 3 3 0, 56.3 deg, rel. 19.3
- hkl 3 3 6, 76.3 deg, rel. 15.1
- hkl 5 2 3, 73.9 deg, rel. 13.0
- hkl 6 0 0, 66.1 deg, rel. 11.9
- hkl 1 0 4, 32.6 deg, rel. 8.3

Atomic structure:
```
data_PmY3Er6
_symmetry_space_group_name_H-M 'R 3'
_symmetry_Int_Tables_number 146
_symmetry_space_group_name_Hall 'R 3'
_cell_length_a 9.7987
_cell_length_b 9.7987
_cell_length_c 11.6087
_cell_angle_alpha 90.00
_cell_angle_beta 90.00
_cell_angle_gamma 120.00
loop_
_atom_site_label
_atom_site_type_symbol
_atom_site_fract_x
_atom_site_fract_y
_atom_site_fract_z
Pm1 Pm 0.0000 0.0000 0.0000
Y1 Y 0.0000 0.0000 0.2453
Y2 Y 0.0000 0.0000 0.4978
Y3 Y 0.0000 0.0000 0.7421
Er1 Er 0.0002 0.3370 0.6736
Er2 Er 0.9997 0.6629 0.1744
```